For TbBSe4, a crystal structure in Alexandria, relaxed with GGA-PBE gives the simulated powder diffractogram in this record (a wavelength of 1.5418 Å).
Peak positions follow from Bragg's law for the DFT cell and can differ from measured ones.

Cell and atoms:
```
TbBSe4
1.0
-4.6022 4.6022 3.5809
4.6022 -4.6022 3.5809
4.6022 4.6022 -3.5809
Tb B Se
2 2 8
direct
0.3750 0.6250 0.7500
0.6250 0.3750 0.2500
0.1250 0.8750 0.2500
0.8750 0.1250 0.7500
0.1344 0.7046 0.4298
0.2253 0.2954 0.9298
0.2954 0.2253 0.4298
0.2954 0.8656 0.0702
0.7046 0.1344 0.9298
0.7046 0.7747 0.5702
0.7747 0.7046 0.0702
0.8656 0.2954 0.5702
```

Main lines, low angle first (15° ≤ 2θ ≤ 90°):
- 2θ 15.68, 5.652 Å, I = 27
- 2θ 19.29, 4.602 Å, I = 64
- 2θ 31.70, 2.822 Å, I = 100
- 2θ 37.40, 2.405 Å, I = 47
- 2θ 38.98, 2.311 Å, I = 30
- 2θ 39.15, 2.301 Å, I = 18
- 2θ 39.91, 2.259 Å, I = 35
- 2θ 49.10, 1.856 Å, I = 23
- 2θ 51.24, 1.783 Å, I = 24
- 2θ 60.34, 1.534 Å, I = 12
- 2θ 63.85, 1.458 Å, I = 9
- 2θ 69.78, 1.348 Å, I = 19